Record 1
Structure and calculated powder diffraction line list of Mg14NiMo (the PBE geometry in the Materials Project; λ = 1.5418 Å (Cu Kα)).

Structural model:
Cell lengths 9.773, 6.246, 6.246 Å; angles 59.57, 90.00, 90.00 degrees
Positions (direct):
Mg 0.000 0.000 0.000
Mg 0.000 0.004 0.501
Mg 0.000 0.499 0.499
Mg 0.000 0.501 0.004
Mg 0.254 0.663 0.663
Mg 0.263 0.161 0.161
Mg 0.271 0.173 0.674
Mg 0.271 0.674 0.173
Mg 0.500 0.505 0.996
Mg 0.500 0.996 0.505
Mg 0.729 0.173 0.674
Mg 0.729 0.674 0.173
Mg 0.737 0.161 0.161
Mg 0.746 0.663 0.663
Ni 0.500 0.005 0.005
Mo 0.500 0.510 0.510

Principal peaks in the range 2θ = 10–90°, low angle first:
| 2θ (°) | intensity |
| --- | --- |
| 16.35 | 168 |
| 18.73 | 240 |
| 33.27 | 304 |
| 36.79 | 357 |
| 37.96 | 539 |
| 38.16 | 1000 |
| 50.44 | 182 |
| 59.17 | 182 |
| 67.17 | 155 |
| 71.74 | 176 |

***

Record 2
Structure and calculated powder diffraction line list of Mg2NiMo3S8 (the PBE geometry in the Materials Project; λ = 1.5418 Å (Cu Kα)).

Structural model:
Cell lengths 7.318, 7.318, 7.318 Å; angles 59.98, 59.98, 59.98 degrees
Positions (direct):
Mg 0.124 0.124 0.124
Mg 0.876 0.876 0.876
Ni 0.500 0.500 0.500
Mo 0.000 0.500 0.500
Mo 0.500 0.000 0.500
Mo 0.500 0.500 0.000
S 0.261 0.261 0.261
S 0.264 0.264 0.713
S 0.264 0.713 0.264
S 0.287 0.736 0.736
S 0.713 0.264 0.264
S 0.736 0.287 0.736
S 0.736 0.736 0.287
S 0.739 0.739 0.739

Principal peaks in the range 2θ = 10–90°, low angle first:
| 2θ (°) | intensity |
| --- | --- |
| 14.83 | 1000 |
| 28.61 | 855 |
| 34.68 | 923 |
| 45.55 | 456 |
| 49.85 | 828 |
| 52.31 | 205 |
| 62.15 | 187 |
| 64.29 | 124 |
| 69.82 | 166 |
| 83.57 | 231 |

***

Record 3
Structure and calculated powder diffraction line list of MgNiMoS4 (the PBE geometry in the Materials Project; λ = 1.5418 Å (Cu Kα)).

Structural model:
Cell lengths 7.297, 7.297, 7.280 Å; angles 119.87, 119.87, 56.14 degrees
Positions (direct):
Mg 0.000 0.000 0.000
Mg 0.240 0.240 0.743
Ni 0.620 0.620 0.371
Ni 0.620 0.620 0.871
Mo 0.120 0.621 0.371
Mo 0.621 0.120 0.371
S 0.385 0.385 0.624
S 0.386 0.386 0.149
S 0.387 0.819 0.605
S 0.422 0.853 0.137
S 0.819 0.387 0.605
S 0.853 0.422 0.137
S 0.854 0.854 0.594
S 0.855 0.855 0.118

Principal peaks in the range 2θ = 10–90°, low angle first:
| 2θ (°) | intensity |
| --- | --- |
| 14.75 | 937 |
| 15.36 | 460 |
| 28.00 | 237 |
| 29.01 | 247 |
| 29.98 | 535 |
| 33.72 | 475 |
| 35.96 | 812 |
| 46.62 | 204 |
| 47.71 | 167 |
| 50.12 | 1000 |

***

Record 4
Structure and calculated powder diffraction line list of MgMo3S4 (the PBE geometry in the Materials Project; λ = 1.5418 Å (Cu Kα)).

Structural model:
Cell lengths 6.707, 6.707, 6.722 Å; angles 98.49, 95.38, 97.45 degrees
Positions (direct):
Mg 0.070 0.322 0.099
Mg 0.930 0.678 0.901
Mo 0.233 0.038 0.409
Mo 0.403 0.729 0.535
Mo 0.461 0.102 0.769
Mo 0.539 0.898 0.231
Mo 0.597 0.271 0.465
Mo 0.767 0.962 0.591
S 0.132 0.886 0.706
S 0.198 0.694 0.191
S 0.294 0.368 0.627
S 0.395 0.204 0.140
S 0.605 0.796 0.860
S 0.706 0.632 0.373
S 0.802 0.306 0.809
S 0.868 0.114 0.294

Principal peaks in the range 2θ = 10–90°, low angle first:
| 2θ (°) | intensity |
| --- | --- |
| 13.44 | 1000 |
| 32.91 | 73 |
| 37.03 | 87 |
| 38.62 | 78 |
| 44.44 | 113 |
| 45.09 | 106 |
| 45.56 | 119 |
| 46.30 | 86 |
| 48.13 | 84 |
| 49.50 | 129 |